Entry 1:
The following is a theoretical PXRD pattern of Mg5Si6. It was derived from a DFT-relaxed cell (GGA-PBE, Alexandria), using CuKα.
Kinematic intensities with the Lorentz-polarization factor, no thermal factor.

Crystal structure
Cell: 5.5738 5.7716 13.2940 Å, 101.92 96.06 90.71°
Space group P1 (No. 1)
Asymmetric unit:
1 Mg 0.0000 0.0000 0.0000 [1 per cell]
2 Mg 0.0598 0.7420 0.5256 [1 per cell]
3 Mg 0.1821 0.4733 0.2637 [1 per cell]
4 Mg 0.3044 0.1691 0.4246 [1 per cell]
5 Mg 0.4213 0.0872 0.8308 [1 per cell]
6 Mg 0.4932 0.6452 0.9179 [1 per cell]
7 Mg 0.5938 0.0385 0.6212 [1 per cell]
8 Mg 0.7164 0.2753 0.3038 [1 per cell]
9 Mg 0.7950 0.5038 0.1018 [1 per cell]
10 Mg 0.9217 0.6857 0.7530 [1 per cell]
11 Si 0.0667 0.9805 0.2191 [1 per cell]
12 Si 0.1704 0.2517 0.6581 [1 per cell]
13 Si 0.2861 0.4362 0.0662 [1 per cell]
14 Si 0.4002 0.6262 0.7097 [1 per cell]
15 Si 0.4413 0.8306 0.1697 [1 per cell]
16 Si 0.4689 0.7106 0.4210 [1 per cell]
17 Si 0.5270 0.0885 0.0501 [1 per cell]
18 Si 0.6239 0.5500 0.5631 [1 per cell]
19 Si 0.7752 0.7642 0.2969 [1 per cell]
20 Si 0.8786 0.2291 0.5067 [1 per cell]
21 Si 0.9320 0.1740 0.7934 [1 per cell]
22 Si 0.9929 0.5130 0.9292 [1 per cell]

Principal peaks in the range 2θ = 15–90°, in order of rising 2θ:
33.61°, I = 80, (1 0 4); 33.81°, I = 53, (2 0 1); 33.90°, I = 100, (0 2 1); 35.02°, I = 99, (0 1 -5); 35.23°, I = 63, (1 2 -1); 36.61°, I = 98, (2 0 -3); 38.42°, I = 51, (2 -1 2); 40.06°, I = 50, (1 1 4); 40.36°, I = 41, (1 2 -4); 48.59°, I = 51, (2 -2 3)

=====

Entry 2:
The following is a theoretical PXRD pattern of Mg5Si6. It was derived from a DFT-relaxed cell (GGA-PBE, Alexandria), using CuKα.
Kinematic intensities with the Lorentz-polarization factor, no thermal factor.

Crystal structure
Cell: 28.9247 4.1269 6.8552 Å, 90.00 93.46 90.00°
Space group C2/m (No. 12)
Asymmetric unit:
1 Mg 0.0432 0.0000 0.3079 [4 per cell]
2 Mg 0.0847 0.0000 0.8192 [4 per cell]
3 Mg 0.1311 0.5000 0.1611 [4 per cell]
4 Mg 0.1670 0.0000 0.4861 [4 per cell]
5 Mg 0.2040 0.0000 0.9918 [4 per cell]
6 Si 0.0257 0.5000 0.6492 [4 per cell]
7 Si 0.0403 0.5000 0.0114 [4 per cell]
8 Si 0.0993 0.5000 0.5138 [4 per cell]
9 Si 0.1531 0.5000 0.7898 [4 per cell]
10 Si 0.2239 0.5000 0.2938 [4 per cell]
11 Si 0.2284 0.5000 0.6654 [4 per cell]

Principal peaks in the range 2θ = 15–90°, in order of rising 2θ:
21.75°, I = 44, (1 1 0); 33.92°, I = 89, (7 1 1); 34.90°, I = 100, (3 1 -2); 35.44°, I = 25, (9 1 0); 37.26°, I = 100, (9 1 -1); 38.21°, I = 62, (5 1 2); 40.75°, I = 65, (4 0 -3); 42.27°, I = 42, (4 0 3); 43.88°, I = 85, (0 2 0); 62.56°, I = 25, (4 2 3)